[1]
The following is a computed powder diffraction line list of TbPuCdSn. It was derived from a cell relaxed with PBE, using copper Kα.

Main lines, in order of rising 2θ (15° ≤ 2θ ≤ 90°):
| 2θ (°) | intensity |
| --- | --- |
| 20.37 | 3 |
| 23.57 | 7 |
| 33.57 | 100 |
| 48.21 | 18 |
| 54.34 | 3 |
| 60.03 | 38 |
| 70.56 | 12 |
| 80.44 | 17 |

Structure:
```
4
Lattice="0.000 3.775 3.775 3.775 0.000 3.775 3.775 3.775 0.000" Properties=species:S:1:pos:R:3 pbc="T T T"
Tb 0.000 0.000 0.000
Pu 3.775 3.775 3.775
Cd 1.888 1.888 1.888
Sn 5.663 5.663 5.663
```


[2]
The following is a computed powder diffraction line list of Cd3Ag6Hg2. It was derived from a cell relaxed with PBE, using copper Kα.

Main lines, in order of rising 2θ (15° ≤ 2θ ≤ 90°):
| 2θ (°) | intensity |
| --- | --- |
| 36.31 | 100 |
| 36.47 | 98 |
| 41.07 | 35 |
| 41.75 | 34 |
| 43.95 | 29 |
| 60.00 | 23 |
| 71.62 | 13 |
| 72.75 | 18 |

Structure:
```
11
Lattice="5.282 0.000 0.000 -0.664 6.510 0.000 -1.948 -2.114 6.267" Properties=species:S:1:pos:R:3 pbc="T T T"
Cd 0.000 0.000 0.000
Cd 0.731 -1.060 5.025
Cd 1.940 5.456 1.242
Ag -0.736 4.583 2.269
Ag 0.926 2.747 0.569
Ag 0.864 0.834 2.821
Ag 1.806 3.563 3.446
Ag 1.744 1.649 5.698
Ag 3.406 -0.187 3.999
Hg -0.840 2.558 4.570
Hg 3.511 1.838 1.697
```


[3]
The following is a computed powder diffraction line list of Fe2Mo4C. It was derived from a cell relaxed with PBE, using copper Kα.

Main lines, in order of rising 2θ (15° ≤ 2θ ≤ 90°):
| 2θ (°) | intensity |
| --- | --- |
| 34.41 | 26 |
| 38.83 | 41 |
| 41.29 | 100 |
| 45.15 | 31 |
| 67.48 | 9 |
| 70.31 | 36 |
| 71.98 | 10 |
| 84.93 | 18 |

Structure:
```
28
Lattice="0.000 5.680 5.680 5.680 0.000 5.680 5.680 5.680 0.000" Properties=species:S:1:pos:R:3 pbc="T T T"
Fe 9.006 5.195 5.195
Fe 2.355 2.355 2.355
Fe 6.166 6.166 2.355
Fe 6.166 2.355 6.166
Fe 5.195 9.006 5.195
Fe 5.195 5.195 9.006
Fe 9.006 9.006 9.006
Fe 2.355 6.166 6.166
Mo 0.000 0.000 0.000
Mo 2.840 2.840 0.000
Mo 2.840 0.000 2.840
Mo 4.260 4.260 2.123
Mo 4.260 2.123 4.260
Mo 6.398 4.260 4.260
Mo 7.101 7.101 4.963
Mo 7.101 4.963 7.101
Mo 9.238 7.101 7.101
Mo 0.000 2.840 2.840
Mo 2.123 4.260 4.260
Mo 4.260 6.398 4.260
Mo 4.260 4.260 6.398
Mo 4.963 7.101 7.101
Mo 7.101 9.238 7.101
Mo 7.101 7.101 9.238
C 5.680 2.840 2.840
C 2.840 5.680 2.840
C 2.840 2.840 5.680
C 5.680 5.680 5.680
```